Diffraction record for Ni6MoPt. The X-ray diffraction stick pattern is calculated, not measured: it uses a structure optimized by DFT (PBE) and Cu Kα (λ = 1.5418 Å).
Kinematic intensities with the Lorentz-polarization factor, no thermal factor.

Main lines, low angle first (2θ = 5–70°):
two_theta	d_spacing	I_rel
24.40	3.648	24
34.87	2.573	25
42.96	2.105	100
43.08	2.100	100
50.01	1.824	63
50.27	1.815	31

Structural model:
Cell: 6.2995 6.2995 10.3389 Å, 90.00 90.00 109.63°
Positions (direct):
Ni 0.0000 0.0000 0.0000
Ni 0.0000 0.0000 0.5000
Ni 0.1207 0.3684 0.3716
Ni 0.1207 0.3684 0.6284
Ni 0.1217 0.3735 0.1218
Ni 0.1217 0.3735 0.8782
Ni 0.2469 0.7531 0.2441
Ni 0.2469 0.7531 0.7559
Ni 0.3684 0.1207 0.3716
Ni 0.3684 0.1207 0.6284
Ni 0.3735 0.1217 0.1218
Ni 0.3735 0.1217 0.8782
Ni 0.5000 0.5000 0.0000
Ni 0.5000 0.5000 0.5000
Ni 0.6265 0.8783 0.1218
Ni 0.6265 0.8783 0.8782
Ni 0.6316 0.8793 0.3716
Ni 0.6316 0.8793 0.6284
Ni 0.7531 0.2469 0.2441
Ni 0.7531 0.2469 0.7559
Ni 0.8783 0.6265 0.1218
Ni 0.8783 0.6265 0.8782
Ni 0.8793 0.6316 0.3716
Ni 0.8793 0.6316 0.6284
Mo 0.0000 0.0000 0.2551
Mo 0.0000 0.0000 0.7449
Mo 0.2461 0.7539 0.0000
Mo 0.7539 0.2461 0.0000
Pt 0.2506 0.7494 0.5000
Pt 0.5000 0.5000 0.2521
Pt 0.5000 0.5000 0.7479
Pt 0.7494 0.2506 0.5000

***

Diffraction record for Ni5Mo2Pt4. The X-ray diffraction stick pattern is calculated, not measured: it uses a structure optimized by DFT (PBE) and Cu Kα (λ = 1.5418 Å).
Kinematic intensities with the Lorentz-polarization factor, no thermal factor.

Main lines, low angle first (2θ = 5–70°):
two_theta	d_spacing	I_rel
24.80	3.590	48
33.31	2.689	46
41.70	2.166	100
42.25	2.139	98
47.83	1.902	68
50.87	1.795	28

Structural model:
Cell: 6.0167 6.0167 7.1809 Å, 91.01 91.01 36.84°
Positions (direct):
Ni 0.0000 0.0000 0.0000
Ni 0.3286 0.3286 0.5019
Ni 0.3305 0.3305 0.9980
Ni 0.6695 0.6695 0.0020
Ni 0.6714 0.6714 0.4981
Mo 0.1655 0.1655 0.7405
Mo 0.8345 0.8345 0.2595
Pt 0.1682 0.1682 0.2500
Pt 0.4930 0.4930 0.2603
Pt 0.5070 0.5070 0.7397
Pt 0.8318 0.8318 0.7500

***

Diffraction record for Ni6Mo2Pt. The X-ray diffraction stick pattern is calculated, not measured: it uses a structure optimized by DFT (PBE) and Cu Kα (λ = 1.5418 Å).
Kinematic intensities with the Lorentz-polarization factor, no thermal factor.

Main lines, low angle first (2θ = 5–70°):
two_theta	d_spacing	I_rel
16.79	5.282	13
34.68	2.587	12
42.51	2.126	100
48.09	1.892	17
48.39	1.881	17
51.94	1.761	13

Structural model:
Cell: 7.7535 5.9796 5.6068 Å, 83.94 50.08 45.98°
Positions (direct):
Ni 0.0014 0.6612 0.3388
Ni 0.3266 0.6734 0.3266
Ni 0.3388 0.9986 0.0014
Ni 0.6612 0.0014 0.9986
Ni 0.6734 0.3266 0.6734
Ni 0.9986 0.3388 0.6612
Mo 0.3330 0.3330 0.6670
Mo 0.6670 0.6670 0.3330
Pt 0.0000 0.0000 0.0000

***

Diffraction record for NiMoPt. The X-ray diffraction stick pattern is calculated, not measured: it uses a structure optimized by DFT (PBE) and Cu Kα (λ = 1.5418 Å).
Kinematic intensities with the Lorentz-polarization factor, no thermal factor.

Main lines, low angle first (2θ = 5–70°):
two_theta	d_spacing	I_rel
25.86	3.445	35
40.63	2.221	100
41.01	2.201	97
47.34	1.920	64
47.79	1.903	31
69.54	1.352	40

Structural model:
Cell: 4.6760 4.6760 4.6760 Å, 146.01 131.96 60.15°
Positions (direct):
Ni 0.0000 0.0000 0.0000
Mo 0.3420 0.3420 0.0000
Pt 0.6692 0.6692 0.0000

***

Diffraction record for Ni4Mo2Pt3. The X-ray diffraction stick pattern is calculated, not measured: it uses a structure optimized by DFT (PBE) and Cu Kα (λ = 1.5418 Å).
Kinematic intensities with the Lorentz-polarization factor, no thermal factor.

Main lines, low angle first (2θ = 5–70°):
two_theta	d_spacing	I_rel
24.45	3.641	39
39.67	2.272	57
40.42	2.232	72
40.95	2.204	59
43.80	2.067	100
50.19	1.818	41

Structural model:
Cell: 7.5621 7.5621 4.6053 Å, 97.63 97.63 73.88°
Positions (direct):
Ni 0.0927 0.8051 0.9761
Ni 0.1949 0.9073 0.5239
Ni 0.2492 0.5187 0.6911
Ni 0.4813 0.7508 0.8089
Ni 0.5187 0.2492 0.1911
Ni 0.7508 0.4813 0.3089
Ni 0.8051 0.0927 0.4761
Ni 0.9073 0.1949 0.0239
Mo 0.1407 0.4195 0.1528
Mo 0.4195 0.1407 0.6528
Mo 0.5805 0.8593 0.3472
Mo 0.8593 0.5805 0.8472
Pt 0.0555 0.2635 0.5798
Pt 0.2635 0.0555 0.0798
Pt 0.3977 0.6023 0.2500
Pt 0.6023 0.3977 0.7500
Pt 0.7365 0.9445 0.9202
Pt 0.9445 0.7365 0.4202

***

Diffraction record for Ni2Mo2PtRh2. The X-ray diffraction stick pattern is calculated, not measured: it uses a structure optimized by DFT (PBE) and Cu Kα (λ = 1.5418 Å).
Kinematic intensities with the Lorentz-polarization factor, no thermal factor.

Main lines, low angle first (2θ = 5–70°):
two_theta	d_spacing	I_rel
40.75	2.214	49
40.89	2.207	100
41.00	2.201	49
47.32	1.921	65
48.06	1.893	30
69.17	1.358	20

Structural model:
Cell: 4.6846 4.6846 8.0615 Å, 94.71 94.71 33.70°
Positions (direct):
Ni 0.2166 0.2166 0.3638
Ni 0.7834 0.7834 0.6362
Mo 0.0812 0.0812 0.7893
Mo 0.9188 0.9188 0.2107
Pt 0.5000 0.5000 0.5000
Rh 0.3571 0.3571 0.9161
Rh 0.6429 0.6429 0.0839

***

Diffraction record for VNiMoPt. The X-ray diffraction stick pattern is calculated, not measured: it uses a structure optimized by DFT (PBE) and Cu Kα (λ = 1.5418 Å).
Kinematic intensities with the Lorentz-polarization factor, no thermal factor.

Main lines, low angle first (2θ = 5–70°):
two_theta	d_spacing	I_rel
25.49	3.495	13
29.52	3.026	24
42.23	2.140	100
49.98	1.825	7
61.26	1.513	16
69.45	1.353	9

Structural model:
Cell: 4.2799 4.2799 4.2799 Å, 60.00 60.00 60.00°
Positions (direct):
V 0.0000 0.0000 0.0000
Ni 0.5000 0.5000 0.5000
Mo 0.7500 0.7500 0.7500
Pt 0.2500 0.2500 0.2500

***

Diffraction record for Rb2NiMo. The X-ray diffraction stick pattern is calculated, not measured: it uses a structure optimized by DFT (PBE) and Cu Kα (λ = 1.5418 Å).
Kinematic intensities with the Lorentz-polarization factor, no thermal factor.

Main lines, low angle first (2θ = 5–70°):
two_theta	d_spacing	I_rel
13.66	6.484	100
21.67	4.101	53
24.75	3.598	80
27.51	3.242	60
30.84	2.900	83
40.55	2.225	40

Structural model:
Cell: 9.4523 9.4523 9.4523 Å, 93.38 93.38 151.91°
Positions (direct):
Rb 0.3750 0.1924 0.3174
Rb 0.8076 0.1250 0.1826
Rb 0.8750 0.0576 0.6826
Rb 0.9424 0.6250 0.8174
Ni 0.0000 0.0000 0.0000
Ni 0.7500 0.2500 0.5000
Mo 0.2500 0.7500 0.5000
Mo 0.5000 0.5000 0.0000

***

Diffraction record for ReNiMo2. The X-ray diffraction stick pattern is calculated, not measured: it uses a structure optimized by DFT (PBE) and Cu Kα (λ = 1.5418 Å).
Kinematic intensities with the Lorentz-polarization factor, no thermal factor.

Main lines, low angle first (2θ = 5–70°):
two_theta	d_spacing	I_rel
40.07	2.250	100
40.33	2.237	50
40.70	2.217	47
46.51	1.953	31
47.05	1.932	63
68.06	1.378	30

Structural model:
Cell: 4.6996 4.6996 4.7750 Å, 98.95 98.95 34.07°
Positions (direct):
Re 0.0000 0.0000 0.0000
Ni 0.7374 0.7374 0.2426
Mo 0.2419 0.2419 0.7488
Mo 0.4801 0.4801 0.4743

***

Diffraction record for Ni3MoRh2. The X-ray diffraction stick pattern is calculated, not measured: it uses a structure optimized by DFT (PBE) and Cu Kα (λ = 1.5418 Å).
Kinematic intensities with the Lorentz-polarization factor, no thermal factor.

Main lines, low angle first (2θ = 5–70°):
two_theta	d_spacing	I_rel
24.79	3.592	7
42.87	2.109	100
43.62	2.075	63
43.72	2.070	31
62.77	1.480	10
62.88	1.478	20

Structural model:
Cell: 8.3007 7.6517 4.8929 Å, 79.55 65.03 35.43°
Positions (direct):
Ni 0.1629 0.1629 0.8371
Ni 0.1651 0.6712 0.3288
Ni 0.3288 0.8349 0.1651
Ni 0.6712 0.1651 0.8349
Ni 0.8349 0.3288 0.6712
Ni 0.8371 0.8371 0.1629
Mo 0.3320 0.3320 0.6680
Mo 0.6680 0.6680 0.3320
Rh 0.2500 0.2500 0.2500
Rh 0.2499 0.7501 0.7501
Rh 0.7501 0.2499 0.2499
Rh 0.7500 0.7500 0.7500

***

Diffraction record for Ni5MoRh6. The X-ray diffraction stick pattern is calculated, not measured: it uses a structure optimized by DFT (PBE) and Cu Kα (λ = 1.5418 Å).
Kinematic intensities with the Lorentz-polarization factor, no thermal factor.

Main lines, low angle first (2θ = 5–70°):
two_theta	d_spacing	I_rel
24.59	3.620	4
33.36	2.686	4
41.89	2.157	100
47.90	1.899	33
50.42	1.810	14
54.57	1.682	2

Structural model:
Cell: 7.0090 7.0090 4.5125 Å, 92.47 92.47 45.02°
Positions (direct):
Ni 0.0000 0.0000 0.0000
Ni 0.1670 0.1670 0.6665
Ni 0.3366 0.3366 0.3359
Ni 0.6634 0.6634 0.6641
Ni 0.8330 0.8330 0.3335
Mo 0.5000 0.5000 0.0000
Rh 0.0805 0.5845 0.8346
Rh 0.2447 0.7553 0.5000
Rh 0.4155 0.9195 0.1654
Rh 0.5845 0.0805 0.8346
Rh 0.7553 0.2447 0.5000
Rh 0.9195 0.4155 0.1654

***

Diffraction record for Ni6MoRh. The X-ray diffraction stick pattern is calculated, not measured: it uses a structure optimized by DFT (PBE) and Cu Kα (λ = 1.5418 Å).
Kinematic intensities with the Lorentz-polarization factor, no thermal factor.

Main lines, low angle first (2θ = 5–70°):
two_theta	d_spacing	I_rel
17.38	5.103	6
30.42	2.938	5
43.02	2.102	100
43.50	2.080	96
50.17	1.818	62
50.81	1.797	30

Structural model:
Cell: 6.2412 5.7236 4.4312 Å, 74.63 62.16 43.20°
Positions (direct):
Ni 0.1283 0.1283 0.3717
Ni 0.2479 0.2479 0.7521
Ni 0.3717 0.3717 0.1283
Ni 0.6283 0.6283 0.8717
Ni 0.7521 0.7521 0.2479
Ni 0.8717 0.8717 0.6283
Mo 0.0000 0.0000 0.0000
Rh 0.5000 0.5000 0.5000

***

Diffraction record for Ni7MoRh2. The X-ray diffraction stick pattern is calculated, not measured: it uses a structure optimized by DFT (PBE) and Cu Kα (λ = 1.5418 Å).
Kinematic intensities with the Lorentz-polarization factor, no thermal factor.

Main lines, low angle first (2θ = 5–70°):
two_theta	d_spacing	I_rel
38.58	2.334	35
42.12	2.145	13
42.76	2.115	54
44.54	2.034	77
47.85	1.901	100
58.94	1.567	19

Structural model:
Cell: 6.6791 6.6791 6.6791 Å, 143.08 135.13 59.45°
Positions (direct):
Ni 0.0000 0.0000 0.0000
Ni 0.0572 0.8119 0.2453
Ni 0.1168 0.6168 0.5000
Ni 0.4334 0.1881 0.2453
Ni 0.5666 0.8119 0.7547
Ni 0.8832 0.3832 0.5000
Ni 0.9428 0.1881 0.7547
Mo 0.5000 0.0000 0.5000
Rh 0.3792 0.3792 0.0000
Rh 0.6208 0.6208 0.0000

***

Diffraction record for NiMoRu. The X-ray diffraction stick pattern is calculated, not measured: it uses a structure optimized by DFT (PBE) and Cu Kα (λ = 1.5418 Å).
Kinematic intensities with the Lorentz-polarization factor, no thermal factor.

Main lines, low angle first (2θ = 5–70°):
two_theta	d_spacing	I_rel
41.00	2.201	34
41.31	2.186	100
47.66	1.908	43
48.61	1.873	20
69.50	1.352	7
69.87	1.346	7

Structural model:
Cell: 4.6484 4.6484 4.6381 Å, 98.96 98.96 120.65°
Positions (direct):
Ni 0.0799 0.9201 0.7500
Ni 0.9201 0.0799 0.2500
Mo 0.2484 0.7516 0.2500
Mo 0.7516 0.2484 0.7500
Ru 0.4137 0.5863 0.7500
Ru 0.5863 0.4137 0.2500